Simulated powder diffractogram of MnZn2NiO4 for Cu Kα X-rays, from the PBE+U geometry in Alexandria.
No peak broadening, texture or thermal motion is included.

Principal peaks in the range 2θ from 10° to 80°, by intensity:
- hkl 2 0 0, 2θ = 41.5°, I 100.0
- hkl 1 1 2, 2θ = 35.7°, I 75.1
- hkl 2 2 0, 2θ = 60.1°, I 59.0
- hkl 1 1 6, 2θ = 71.9°, I 29.7
- hkl 2 2 4, 2θ = 75.6°, I 18.3
- hkl 1 0 1, 2θ = 22.8°, I 1.6
- hkl 2 1 1, 2θ = 47.8°, I 0.6
- hkl 1 0 5, 2θ = 56.9°, I 0.5

Atomic structure:
Cell lengths 4.358, 4.358, 8.703 Å; angles 90.00, 90.00, 90.00 degrees
Space group I-4m2 (No. 119)
Unique sites:
Mn1 0.000 0.000 0.000
Zn1 0.000 0.000 0.500
Zn2 0.000 0.500 0.250
Ni1 0.000 0.500 0.750
O1 0.000 0.000 0.257
O2 0.000 0.500 0.505